Record 1
Starting from a GGA-PBE-relaxed structure, the powder X-ray diffraction pattern of Bi12Pb2Cl6O17 was calculated for copper Kα.
Peak positions follow from Bragg's law for the DFT cell and can differ from measured ones.

Top 12 peaks for 2θ from 10° to 80°, in order of falling intensity:
2θ/deg  I (rel.)  h k l
29.7  100  3 1 2
31.9  80  7 1 -2
28.2  56  4 0 -4
30.7  43  10 0 0
24.2  34  1 1 1
10.6  33  2 0 1
43.4  22  11 1 1
46.2  21  0 2 0
53.7  20  11 1 -6
23.5  19  8 0 -1
52.5  19  13 1 2
45.4  19  14 0 -4

Cell and atoms:
```
data_Bi12Pb2Cl6O17
_chemical_formula_sum 'Bi24 Pb4 Cl12 O34'
_space_group_name_H-M_alt 'C 1 m 1'
_space_group_IT_number 8
_cell_length_a 30.316
_cell_length_b 3.931
_cell_length_c 12.810
_cell_angle_alpha 90.00
_cell_angle_beta 105.93
_cell_angle_gamma 90.00
loop_
_space_group_symop_operation_xyz
'x,y,z'
'x,-y,z'
'x+1/2,y+1/2,z'
'x+1/2,-y+1/2,z'
loop_
_atom_site_label
_atom_site_fract_x
_atom_site_fract_y
_atom_site_fract_z
Bi1 0.000 0.000 0.000
Bi2 0.002 0.500 0.248
Bi3 0.090 0.500 0.569
Bi4 0.102 0.000 0.818
Bi5 0.107 0.500 0.106
Bi6 0.189 0.500 0.421
Bi7 0.205 0.500 0.961
Bi8 0.289 0.500 0.279
Bi9 0.309 0.500 0.822
Bi10 0.394 0.500 0.132
Bi11 0.399 0.000 0.381
Bi12 0.413 0.500 0.677
Pb1 0.201 0.000 0.699
Pb2 0.298 0.000 0.545
Cl1 0.004 0.500 0.818
Cl2 0.086 0.000 0.317
Cl3 0.201 0.000 0.191
Cl4 0.310 0.000 0.062
Cl5 0.408 0.000 0.941
Cl6 0.480 0.500 0.425
O1 0.024 0.500 0.093
O2 0.075 0.000 0.037
O3 0.076 0.000 0.633
O4 0.123 0.500 0.747
O5 0.131 0.500 0.965
O6 0.161 0.500 0.562
O7 0.179 0.000 0.886
O8 0.215 0.000 0.497
O9 0.237 0.500 0.822
O10 0.266 0.500 0.423
O11 0.285 0.000 0.739
O12 0.322 0.000 0.351
O13 0.346 0.500 0.683
O14 0.372 0.500 0.290
O15 0.404 0.000 0.582
O16 0.423 0.000 0.217
O17 0.474 0.500 0.158
```

Record 2
Starting from a GGA-PBE-relaxed structure, the powder X-ray diffraction pattern of Na4YZrSi2PO12 was calculated for copper Kα.
Peak positions follow from Bragg's law for the DFT cell and can differ from measured ones.

Top 12 peaks for 2θ from 10° to 80°, in order of falling intensity:
2θ/deg  I (rel.)  h k l
18.9  100  2 0 -2
33.1  67  2 0 2
30.2  63  5 1 -1
30.2  32  3 1 -3
45.3  28  6 2 0
26.9  25  4 0 0
51.5  22  1 5 1
22.2  20  2 2 -1
57.2  20  6 4 0
45.4  18  2 2 -4
43.1  17  2 4 -2
57.4  15  1 1 -5

Cell and atoms:
```
data_Na4YZrSi2PO12
_chemical_formula_sum 'Na16 Y4 Zr4 Si8 P4 O48'
_space_group_name_H-M_alt 'C 1 c 1'
_space_group_IT_number 9
_cell_length_a 16.219
_cell_length_b 9.392
_cell_length_c 9.349
_cell_angle_alpha 90.00
_cell_angle_beta 125.12
_cell_angle_gamma 90.00
loop_
_space_group_symop_operation_xyz
'x,y,z'
'x,-y,z+1/2'
'x+1/2,y+1/2,z'
'x+1/2,-y+1/2,z+1/2'
loop_
_atom_site_label
_atom_site_fract_x
_atom_site_fract_y
_atom_site_fract_z
Na1 0.000 0.056 0.000
Na2 0.070 0.240 0.394
Na3 0.140 0.424 0.773
Na4 0.313 0.120 0.643
Y1 0.417 0.254 0.036
Zr1 0.217 0.250 0.235
Si1 0.171 0.096 0.837
Si2 0.317 0.448 0.631
P1 0.469 0.106 0.437
O1 0.058 0.315 0.103
O2 0.076 0.169 0.659
O3 0.167 0.080 0.323
O4 0.175 0.133 0.016
O5 0.234 0.356 0.453
O6 0.249 0.441 0.165
O7 0.270 0.160 0.860
O8 0.370 0.173 0.398
O9 0.391 0.457 0.106
O10 0.392 0.340 0.791
O11 0.474 0.128 0.279
O12 0.478 0.055 0.974
```

Record 3
Starting from a GGA-PBE-relaxed structure, the powder X-ray diffraction pattern of TbBiPd was calculated for copper Kα.
Peak positions follow from Bragg's law for the DFT cell and can differ from measured ones.

Top 10 peaks for 2θ from 10° to 80°, in order of falling intensity:
2θ/deg  I (rel.)  h k l
37.7  100  2 2 0
26.4  36  2 0 0
68.1  36  4 2 2
54.4  18  4 0 0
22.8  15  1 1 1
61.4  15  4 2 0
46.6  11  2 2 2
44.5  8  3 1 1
59.7  3  3 3 1
72.8  2  5 1 1

Cell and atoms:
```
data_TbBiPd
_chemical_formula_sum 'Tb4 Bi4 Pd4'
_space_group_name_H-M_alt 'F -4 3 m'
_space_group_IT_number 216
_space_group_name_Hall 'F -4 2 3'
_cell_length_a 6.748
_cell_length_b 6.748
_cell_length_c 6.748
_cell_angle_alpha 90.00
_cell_angle_beta 90.00
_cell_angle_gamma 90.00
loop_
_atom_site_label
_atom_site_fract_x
_atom_site_fract_y
_atom_site_fract_z
Tb1 0.000 0.000 0.000
Bi1 0.000 0.000 0.500
Pd1 0.250 0.250 0.250
```

Record 4
Starting from a GGA-PBE-relaxed structure, the powder X-ray diffraction pattern of La2ZnGa was calculated for copper Kα.
Peak positions follow from Bragg's law for the DFT cell and can differ from measured ones.

Top 8 peaks for 2θ from 10° to 80°, in order of falling intensity:
2θ/deg  I (rel.)  h k l
33.5  100  2 2 0
60.0  37  4 2 2
48.2  18  4 0 0
23.6  12  2 0 0
70.5  11  4 4 0
54.3  5  4 2 0
41.4  4  2 2 2
75.5  2  6 0 0

Cell and atoms:
```
data_La2ZnGa
_chemical_formula_sum 'La8 Zn4 Ga4'
_space_group_name_H-M_alt 'F m -3 m'
_space_group_IT_number 225
_space_group_name_Hall '-F 4 2 3'
_cell_length_a 7.555
_cell_length_b 7.555
_cell_length_c 7.555
_cell_angle_alpha 90.00
_cell_angle_beta 90.00
_cell_angle_gamma 90.00
loop_
_atom_site_label
_atom_site_fract_x
_atom_site_fract_y
_atom_site_fract_z
La1 0.250 0.250 0.250
Zn1 0.000 0.000 0.000
Ga1 0.000 0.000 0.500
```

Record 5
Starting from a GGA-PBE-relaxed structure, the powder X-ray diffraction pattern of GaNi3 was calculated for copper Kα.
Peak positions follow from Bragg's law for the DFT cell and can differ from measured ones.

Top 5 peaks for 2θ from 10° to 80°, in order of falling intensity:
2θ/deg  I (rel.)  h k l
46.8  100  2 0 1
44.3  26  0 0 2
41.0  25  2 0 0
74.6  15  2 2 0
61.9  14  2 0 2

Cell and atoms:
```
data_GaNi3
_chemical_formula_sum 'Ga2 Ni6'
_space_group_name_H-M_alt 'P 63/m m c'
_space_group_IT_number 194
_space_group_name_Hall '-P 6c 2c'
_cell_length_a 5.0869
_cell_length_b 5.0869
_cell_length_c 4.0900
_cell_angle_alpha 90.00
_cell_angle_beta 90.00
_cell_angle_gamma 120.00
loop_
_atom_site_label
_atom_site_fract_x
_atom_site_fract_y
_atom_site_fract_z
Ga1 0.3333 0.6667 0.2500
Ni1 0.1646 0.3292 0.7500
```

Record 6
Starting from a GGA-PBE-relaxed structure, the powder X-ray diffraction pattern of Na3YN2 was calculated for copper Kα.
Peak positions follow from Bragg's law for the DFT cell and can differ from measured ones.

Top 12 peaks for 2θ from 10° to 80°, in order of falling intensity:
2θ/deg  I (rel.)  h k l
13.4  100  1 0 0
32.5  49  0 4 1
30.7  29  2 2 0
34.2  24  2 2 -2
28.7  21  2 2 -1
30.0  21  0 0 2
14.3  21  0 2 0
27.0  15  2 0 0
50.9  15  2 6 -1
20.7  14  0 2 1
19.6  14  1 2 0
39.1  14  2 2 1

Cell and atoms:
```
data_Na3YN2
_chemical_formula_sum 'Na12 Y4 N8'
_space_group_name_H-M_alt 'P 1 21/c 1'
_space_group_IT_number 14
_cell_length_a 7.260
_cell_length_b 12.412
_cell_length_c 6.565
_cell_angle_alpha 90.00
_cell_angle_beta 114.67
_cell_angle_gamma 90.00
loop_
_space_group_symop_operation_xyz
'x,y,z'
'-x,-y,-z'
'-x,y+1/2,-z+1/2'
'x,-y+1/2,z+1/2'
loop_
_atom_site_label
_atom_site_fract_x
_atom_site_fract_y
_atom_site_fract_z
Na1 0.036 0.189 0.217
Na2 0.222 0.073 0.684
Na3 0.327 0.537 0.777
Y1 0.481 0.701 0.278
N1 0.393 0.167 0.468
N2 0.481 0.546 0.451
```